This entry pairs a crystal structure of BaSnSeS with its calculated X-ray powder pattern. Radiation: Cu Kα. Structure: a DFT-relaxed cell (PBE, Alexandria).

Cell and atoms:
Unit cell a=5.1616 b=5.1616 c=11.9887 alpha=90.00 beta=90.00 gamma=120.00
Element x y z (fractional)
Ba1 0.3333 0.6667 0.0000
Ba2 0.6667 0.3333 0.5000
Sn1 0.0000 0.0000 0.2669
Sn2 0.0000 0.0000 0.7669
Se1 0.3333 0.6667 0.2931
Se2 0.6667 0.3333 0.7931
S1 0.0000 0.0000 0.0564
S2 0.0000 0.0000 0.5564

Largest 10 diffraction maxima, sorted by position, 10 to 90 degrees two-theta:
- (1 0 1), d 4.188, 2θ 21.21, I 71
- (1 0 2), d 3.583, 2θ 24.85, I 55
- (0 0 4), d 2.997, 2θ 29.81, I 39
- (1 0 3), d 2.979, 2θ 29.99, I 65
- (1 1 0), d 2.581, 2θ 34.76, I 100
- (1 1 4), d 1.956, 2θ 46.43, I 69
- (3 0 0), d 1.490, 2θ 62.32, I 28
- (3 0 4), d 1.334, 2θ 70.59, I 20
- (2 2 0), d 1.290, 2θ 73.38, I 23
- (2 2 4), d 1.185, 2θ 81.18, I 22